Record 1
The following is a theoretical X-ray powder pattern of Pr7NdTm4. It was derived from DFT lattice parameters and positions (GGA-PBE), using CuKα.

Crystal structure
```
data_Pr7NdTm4
_cell_length_a 6.3655
_cell_length_b 7.3306
_cell_length_c 9.0301
_cell_angle_alpha 89.98
_cell_angle_beta 76.53
_cell_angle_gamma 89.96
_space_group_name_H-M_alt 'P -1'
_space_group_IT_number 2
_space_group_name_Hall '-P 1'
loop_
_atom_site_label
_atom_site_fract_x
_atom_site_fract_y
_atom_site_fract_z
Pr1 0.0000 0.0000 0.0000
Pr2 0.2233 0.5009 0.3352
Pr3 0.2822 0.7516 0.6627
Pr4 0.5002 0.2448 0.9969
Nd1 0.0000 0.5000 0.0000
Tm1 0.2175 0.0008 0.3367
Tm2 0.2770 0.2434 0.6658
```

Top 8 peaks for 10 to 90 degrees two-theta, most intense first:
| 2θ/deg | I/Imax |
| --- | --- |
| 31.25 | 100 |
| 32.89 | 62 |
| 30.54 | 51 |
| 28.28 | 36 |
| 32.95 | 30 |
| 49.65 | 27 |
| 59.39 | 23 |
| 59.50 | 23 |

Record 2
The following is a theoretical X-ray powder pattern of Ac2TmAgTe5. It was derived from DFT lattice parameters and positions (GGA-PBE), using CuKα.

Crystal structure
```
data_Ac2TmAgTe5
_cell_length_a 4.5345
_cell_length_b 19.4613
_cell_length_c 13.5022
_cell_angle_alpha 90.00
_cell_angle_beta 90.00
_cell_angle_gamma 90.00
_space_group_name_H-M_alt 'C m c 21'
_space_group_IT_number 36
_space_group_name_Hall 'C 2c -2'
loop_
_atom_site_label
_atom_site_fract_x
_atom_site_fract_y
_atom_site_fract_z
Ac1 0.0000 0.1116 0.0000
Ac2 0.0000 0.1252 0.6200
Tm1 0.0000 0.1918 0.3223
Ag1 0.0000 0.4310 0.7691
Te1 0.0000 0.0457 0.3808
Te2 0.0000 0.2874 0.9751
Te3 0.0000 0.3038 0.6617
Te4 0.0000 0.3521 0.3132
Te5 0.0000 0.4990 0.0892
```

Top 8 peaks for 10 to 90 degrees two-theta, most intense first:
| 2θ/deg | I/Imax |
| --- | --- |
| 28.31 | 100 |
| 33.11 | 43 |
| 39.76 | 24 |
| 21.76 | 14 |
| 38.54 | 13 |
| 36.38 | 13 |
| 49.51 | 12 |
| 30.26 | 12 |

Record 3
The following is a theoretical X-ray powder pattern of AcTbO. It was derived from DFT lattice parameters and positions (GGA-PBE), using CuKα.

Crystal structure
```
data_AcTbO
_cell_length_a 3.7311
_cell_length_b 3.7311
_cell_length_c 6.4724
_cell_angle_alpha 90.00
_cell_angle_beta 90.00
_cell_angle_gamma 120.00
_space_group_name_H-M_alt 'P 3 m 1'
_space_group_IT_number 156
_space_group_name_Hall 'P 3 -2"'
loop_
_atom_site_label
_atom_site_fract_x
_atom_site_fract_y
_atom_site_fract_z
Ac1 0.0000 0.0000 0.0000
Tb1 0.6667 0.3333 0.5414
O1 0.3333 0.6667 0.6726
```

Top 8 peaks for 10 to 90 degrees two-theta, most intense first:
| 2θ/deg | I/Imax |
| --- | --- |
| 30.93 | 100 |
| 27.58 | 47 |
| 56.97 | 28 |
| 50.89 | 25 |
| 39.41 | 22 |
| 48.82 | 21 |
| 58.92 | 16 |
| 79.94 | 14 |

Record 4
The following is a theoretical X-ray powder pattern of Sm2Er3Mg8. It was derived from DFT lattice parameters and positions (GGA-PBE), using CuKα.

Crystal structure
```
data_Sm2Er3Mg8
_cell_length_a 5.8572
_cell_length_b 5.8572
_cell_length_c 37.0315
_cell_angle_alpha 90.00
_cell_angle_beta 90.00
_cell_angle_gamma 120.00
_space_group_name_H-M_alt 'R -3 m'
_space_group_IT_number 166
_space_group_name_Hall '-R 3 2"'
loop_
_atom_site_label
_atom_site_fract_x
_atom_site_fract_y
_atom_site_fract_z
Sm1 0.0000 0.0000 0.1391
Er1 0.0000 0.0000 0.3161
Er2 0.0000 0.0000 0.5000
Mg1 0.0000 0.0000 0.2257
Mg2 0.0005 0.5003 0.2718
```

Top 8 peaks for 10 to 90 degrees two-theta, most intense first:
| 2θ/deg | I/Imax |
| --- | --- |
| 31.91 | 100 |
| 30.52 | 90 |
| 21.23 | 82 |
| 33.88 | 73 |
| 14.35 | 54 |
| 55.13 | 42 |
| 37.48 | 31 |
| 44.74 | 23 |